# La2SnS4
Calculated XRD peak list, Cu Kα (weighted mean of Kα1 and Kα2). Input: a cell relaxed with PBE.

Most intense lines, 10 to 90 degrees two-theta, sorted by position:
index  d [Å]  Rel. int.
2 0 0  6.610  51.1
2 0 -2  3.708  90.8
1 1 -1  3.670  100.0
1 1 1  3.241  35.3
3 1 0  3.050  51.5
3 1 1  2.485  50.9
5 1 -1  2.429  36.4
1 1 2  2.393  34.0
3 1 -3  2.132  54.0
0 2 0  2.113  34.5

```
data_La2SnS4
_space_group_name_H-M_alt 'C 1 2/m 1'
_space_group_IT_number 12
_cell_length_a 14.8687
_cell_length_b 4.2252
_cell_length_c 7.4173
_cell_angle_alpha 90.00
_cell_angle_beta 117.20
_cell_angle_gamma 90.00
loop_
_space_group_symop_operation_xyz
'x,y,z'
'-x,-y,-z'
'-x,y,-z'
'x,-y,z'
'x+1/2,y+1/2,z'
'-x+1/2,-y+1/2,-z'
'-x+1/2,y+1/2,-z'
'x+1/2,-y+1/2,z'
loop_
_atom_site_label
_atom_site_fract_x
_atom_site_fract_y
_atom_site_fract_z
_atom_site_occupancy
La1 0.2163 0.0000 0.2110 1
Sn1 0.0000 0.5000 0.5000 1
S1 0.1294 0.5000 0.9330 1
S2 0.1460 0.0000 0.5145 1
```